# 1
Diffraction record for K2Pa3NiO12. The X-ray powder pattern is theoretical, not measured: it uses a DFT-relaxed cell (PBE+U, Alexandria) and Cu Kα X-rays.
Lines closer than 0.1° are merged.

Peak list (10 most intense, 15° ≤ 2θ ≤ 90°, sorted by position)
two_theta, I/Imax
26.2, 88.3
26.8, 59.4
27.6, 100.0
29.9, 30.8
32.7, 35.9
36.1, 32.6
45.3, 36.1
48.0, 27.5
48.4, 33.7
55.3, 36.8

Atomic structure:
```
K2Pa3NiO12
1.0
3.9998 2.3093 5.9758
-3.9998 2.3093 5.9758
0.0000 -4.6186 5.9758
K Pa Ni O
2 3 1 12
direct
0.1485 0.1485 0.1485 K
0.8515 0.8515 0.8515 K
0.0000 0.5000 0.5000 Pa
0.5000 0.0000 0.5000 Pa
0.5000 0.5000 0.0000 Pa
0.5000 0.5000 0.5000 Ni
0.1739 0.1739 0.5476 O
0.1739 0.5476 0.1739 O
0.2214 0.5532 0.5532 O
0.4468 0.4468 0.7786 O
0.4468 0.7786 0.4468 O
0.4524 0.8261 0.8261 O
0.5476 0.1739 0.1739 O
0.5532 0.2214 0.5532 O
0.5532 0.5532 0.2214 O
0.7786 0.4468 0.4468 O
0.8261 0.4524 0.8261 O
0.8261 0.8261 0.4524 O
```

=====

# 2
Diffraction record for KNiPbO2. The X-ray powder pattern is theoretical, not measured: it uses a DFT-relaxed cell (PBE+U, Alexandria) and Cu Kα X-rays.
Lines closer than 0.1° are merged.

Peak list (10 most intense, 15° ≤ 2θ ≤ 90°, sorted by position)
two_theta, I/Imax
19.6, 100.0
26.6, 60.6
27.9, 64.1
36.1, 25.3
39.8, 38.2
41.4, 31.3
44.8, 25.2
46.2, 33.3
48.6, 24.3
54.8, 29.0

Atomic structure:
```
KNiPbO2
1.0
4.5253 0.0000 0.0000
0.0000 4.5253 0.0000
0.0000 0.0000 4.9760
K Ni Pb O
1 1 1 2
direct
0.0000 0.0000 0.0000 K
0.5000 0.5000 0.0000 Ni
0.5000 0.5000 0.5000 Pb
0.0000 0.5000 0.5000 O
0.5000 0.0000 0.5000 O
```

=====

# 3
Diffraction record for K2NiPt2O6. The X-ray powder pattern is theoretical, not measured: it uses a DFT-relaxed cell (PBE+U, Alexandria) and Cu Kα X-rays.
Lines closer than 0.1° are merged.

Peak list (10 most intense, 15° ≤ 2θ ≤ 90°, sorted by position)
two_theta, I/Imax
21.3, 34.4
29.5, 59.6
33.1, 46.8
34.3, 100.0
38.3, 94.1
38.7, 46.1
48.2, 28.1
52.5, 31.5
58.6, 27.4
66.7, 24.0

Atomic structure:
```
K2NiPt2O6
1.0
2.7251 -4.7515 0.0000
2.7251 4.7515 0.0000
-1.7657 0.0000 6.0463
K Ni Pt O
2 1 2 6
direct
0.1640 0.8360 0.0000 K
0.8360 0.1640 0.0000 K
0.0000 0.0000 0.5000 Ni
0.3339 0.6661 0.5000 Pt
0.6661 0.3339 0.5000 Pt
0.0523 0.3937 0.6665 O
0.2852 0.2852 0.3338 O
0.3937 0.0523 0.6665 O
0.6063 0.9477 0.3335 O
0.7148 0.7148 0.6662 O
0.9477 0.6063 0.3335 O
```

=====

# 4
Diffraction record for KTa2Ni2O7. The X-ray powder pattern is theoretical, not measured: it uses a DFT-relaxed cell (PBE+U, Alexandria) and Cu Kα X-rays.
Lines closer than 0.1° are merged.

Peak list (10 most intense, 15° ≤ 2θ ≤ 90°, sorted by position)
two_theta, I/Imax
19.7, 39.3
22.3, 85.3
22.9, 100.0
26.9, 65.5
31.4, 40.5
33.0, 71.2
33.3, 40.2
44.4, 47.3
45.7, 46.0
51.1, 42.0

Atomic structure:
```
KTa2Ni2O7
1.0
9.2134 -1.9871 0.0000
9.2134 1.9871 0.0000
-0.8631 0.0000 3.9882
K Ta Ni O
1 2 2 7
direct
0.0000 0.0000 0.0000 K
0.3873 0.3873 0.4039 Ta
0.6111 0.6111 0.6126 Ta
0.2753 0.2753 0.7467 Ni
0.7421 0.7421 0.2182 Ni
0.1030 0.1030 0.5866 O
0.2712 0.2712 0.2452 O
0.3937 0.3937 0.8855 O
0.4969 0.4969 0.4843 O
0.6186 0.6186 0.1005 O
0.7206 0.7206 0.6953 O
0.8757 0.8757 0.3665 O
```

=====

# 5
Diffraction record for K2TiNiO4. The X-ray powder pattern is theoretical, not measured: it uses a DFT-relaxed cell (PBE+U, Alexandria) and Cu Kα X-rays.
Lines closer than 0.1° are merged.

Peak list (10 most intense, 15° ≤ 2θ ≤ 90°, sorted by position)
two_theta, I/Imax
19.2, 38.3
30.6, 34.6
30.8, 33.0
31.6, 89.4
32.3, 100.0
42.9, 19.9
45.1, 16.4
54.6, 18.0
54.7, 16.4
57.6, 36.3

Atomic structure:
```
K2TiNiO4
1.0
8.0473 0.0000 0.0000
0.0000 7.6549 0.0000
-4.0084 0.0000 4.2199
K Ti Ni O
4 2 2 8
direct
0.0000 0.0000 0.0000 K
0.0000 0.2499 0.5000 K
0.5000 0.5000 0.0000 K
0.5000 0.7499 0.5000 K
0.0000 0.7668 0.5000 Ti
0.5000 0.2668 0.5000 Ti
0.0000 0.5102 0.0000 Ni
0.5000 0.0102 0.0000 Ni
0.1274 0.6402 0.8586 O
0.2267 0.9046 0.5938 O
0.2733 0.4046 0.4062 O
0.3726 0.1402 0.1414 O
0.6274 0.1402 0.8586 O
0.7267 0.4046 0.5938 O
0.7733 0.9046 0.4062 O
0.8726 0.6402 0.1414 O
```

=====

# 6
Diffraction record for KUNi2O5. The X-ray powder pattern is theoretical, not measured: it uses a DFT-relaxed cell (PBE+U, Alexandria) and Cu Kα X-rays.
Lines closer than 0.1° are merged.

Peak list (10 most intense, 15° ≤ 2θ ≤ 90°, sorted by position)
two_theta, I/Imax
17.8, 70.9
21.0, 30.1
30.4, 22.7
30.8, 100.0
38.0, 23.7
42.3, 16.5
46.4, 21.7
49.6, 16.9
54.2, 20.6
64.1, 15.0

Atomic structure:
```
KUNi2O5
1.0
-2.3664 2.9424 4.7132
2.3664 -2.9424 4.7132
2.3664 2.9424 -4.7132
K U Ni O
1 1 2 5
direct
0.0000 0.0000 0.0000 K
0.5000 0.5000 0.0000 U
0.2812 0.7812 0.5000 Ni
0.7188 0.2188 0.5000 Ni
0.1053 0.3482 0.7571 O
0.4090 0.6518 0.7571 O
0.5000 0.0000 0.5000 O
0.5910 0.3482 0.2429 O
0.8947 0.6518 0.2429 O
```